Theoretical X-ray diffraction stick pattern
Compound: Zr4CdFe
Radiation: Cu Ka
Structure: the GGA-PBE geometry in Alexandria
Peak positions follow from Bragg's law for the DFT cell and can differ from measured ones.

Main lines, by angle (2θ = 10–90°):
2θ/deg  I/Imax
28.0  23.5
31.5  57.7
35.5  63.3
36.5  100.0
37.0  34.9
43.9  28.7

Cell lengths 7.579, 6.716, 5.553 Å; angles 90.00, 107.27, 90.00 degrees
Space group P2_1/c (No. 14)
Unique sites:
Zr: 0.141 0.150 0.150 (multiplicity 4)
Zr: 0.257 0.666 0.300 (multiplicity 4)
Cd: 0.500 0.000 0.500 (multiplicity 2)
Fe: 0.000 0.000 0.500 (multiplicity 2)

Theoretical X-ray diffraction stick pattern
Compound: CdGa
Radiation: Cu Ka
Structure: the GGA-PBE geometry in Alexandria
Peak positions follow from Bragg's law for the DFT cell and can differ from measured ones.

Main lines, by angle (2θ = 10–90°):
2θ/deg  I/Imax
25.5  6.2
36.3  100.0
52.3  17.0
65.3  33.7
77.1  10.3
88.4  14.9

Cell lengths 3.498, 3.498, 3.498 Å; angles 90.00, 90.00, 90.00 degrees
Space group Pm-3m (No. 221)
Unique sites:
Cd: 0.000 0.000 0.000 (multiplicity 1)
Ga: 0.500 0.500 0.500 (multiplicity 1)

Theoretical X-ray diffraction stick pattern
Compound: Cd13Ga3
Radiation: Cu Ka
Structure: the GGA-PBE geometry in Alexandria
Peak positions follow from Bragg's law for the DFT cell and can differ from measured ones.

Main lines, by angle (2θ = 10–90°):
2θ/deg  I/Imax
32.2  80.8
38.4  100.0
46.2  28.3
61.5  23.7
61.6  21.9
73.3  13.8

Cell lengths 5.833, 11.139, 11.110 Å; angles 90.00, 90.00, 90.00 degrees
Space group Amm2 (No. 38)
Unique sites:
Cd: 0.000 0.000 0.000 (multiplicity 2)
Cd: 0.000 0.000 0.491 (multiplicity 2)
Cd: 0.000 0.248 0.262 (multiplicity 4)
Cd: 0.250 0.000 0.749 (multiplicity 4)
Cd: 0.251 0.249 0.011 (multiplicity 8)
Cd: 0.500 0.000 0.495 (multiplicity 2)
Cd: 0.500 0.248 0.261 (multiplicity 4)
Ga: 0.254 0.000 0.244 (multiplicity 4)
Ga: 0.500 0.000 0.000 (multiplicity 2)

Theoretical X-ray diffraction stick pattern
Compound: Cd8Ga3
Radiation: Cu Ka
Structure: the GGA-PBE geometry in Alexandria
Peak positions follow from Bragg's law for the DFT cell and can differ from measured ones.

Main lines, by angle (2θ = 10–90°):
2θ/deg  I/Imax
27.8  97.7
39.6  100.0
39.9  95.9
49.3  17.6
57.4  30.3
72.2  28.3

Cell lengths 9.0408, 9.0408, 11.2013 Å; angles 90.00, 90.00, 120.00 degrees
Space group R-3m (No. 166, hexagonal axes)
Unique sites:
Cd: 0.0000 0.0000 0.2393 (multiplicity 6)
Cd: 0.0197 0.5098 0.7469 (multiplicity 18)
Ga: 0.0000 0.5000 0.0000 (multiplicity 9)

Theoretical X-ray diffraction stick pattern
Compound: Cd13Ga2
Radiation: Cu Ka
Structure: the GGA-PBE geometry in Alexandria
Peak positions follow from Bragg's law for the DFT cell and can differ from measured ones.

Main lines, by angle (2θ = 10–90°):
2θ/deg  I/Imax
33.8  100.0
33.9  99.0
34.8  92.7
36.8  78.7
40.1  61.5
40.6  59.9

Cell lengths 5.572, 7.322, 8.584 Å; angles 73.57, 83.38, 88.41 degrees
Space group P-1 (No. 2)
Unique sites:
Cd: 0.000 0.000 0.000 (multiplicity 1)
Cd: 0.129 0.264 0.204 (multiplicity 2)
Cd: 0.198 0.396 0.794 (multiplicity 2)
Cd: 0.261 0.535 0.403 (multiplicity 2)
Cd: 0.332 0.665 0.000 (multiplicity 2)
Cd: 0.403 0.803 0.599 (multiplicity 2)
Cd: 0.464 0.932 0.203 (multiplicity 2)
Ga: 0.062 0.129 0.591 (multiplicity 2)

Theoretical X-ray diffraction stick pattern
Compound: Cd3Ga5
Radiation: Cu Ka
Structure: the GGA-PBE geometry in Alexandria
Peak positions follow from Bragg's law for the DFT cell and can differ from measured ones.

Main lines, by angle (2θ = 10–90°):
2θ/deg  I/Imax
35.9  100.0
41.4  35.9
42.3  12.5
59.9  11.5
60.7  16.5
71.9  24.5

Cell lengths 3.086, 3.086, 17.093 Å; angles 90.00, 90.00, 90.00 degrees
Space group P4/mmm (No. 123)
Unique sites:
Cd: 0.000 0.000 0.000 (multiplicity 1)
Cd: 0.500 0.500 0.136 (multiplicity 2)
Ga: 0.000 0.000 0.266 (multiplicity 2)
Ga: 0.000 0.000 0.500 (multiplicity 1)
Ga: 0.500 0.500 0.384 (multiplicity 2)

Theoretical X-ray diffraction stick pattern
Compound: Cd3Ga13
Radiation: Cu Ka
Structure: the GGA-PBE geometry in Alexandria
Peak positions follow from Bragg's law for the DFT cell and can differ from measured ones.

Main lines, by angle (2θ = 10–90°):
2θ/deg  I/Imax
36.1  100.0
36.7  47.4
37.0  46.6
40.1  74.8
46.6  22.3
62.9  16.8

Cell lengths 6.264, 6.463, 7.795 Å; angles 90.00, 90.50, 90.00 degrees
Space group Pm (No. 6)
Unique sites:
Cd: 0.000 0.000 0.000 (multiplicity 1)
Cd: 0.291 0.250 0.238 (multiplicity 2)
Ga: 0.013 0.000 0.480 (multiplicity 1)
Ga: 0.022 0.500 0.977 (multiplicity 1)
Ga: 0.039 0.500 0.504 (multiplicity 1)
Ga: 0.267 0.233 0.736 (multiplicity 2)
Ga: 0.511 0.500 0.516 (multiplicity 1)
Ga: 0.517 0.500 0.959 (multiplicity 1)
Ga: 0.529 0.000 0.976 (multiplicity 1)
Ga: 0.538 0.000 0.503 (multiplicity 1)
Ga: 0.775 0.274 0.251 (multiplicity 2)
Ga: 0.781 0.255 0.728 (multiplicity 2)

Theoretical X-ray diffraction stick pattern
Compound: Cd3Ga
Radiation: Cu Ka
Structure: the GGA-PBE geometry in Alexandria
Peak positions follow from Bragg's law for the DFT cell and can differ from measured ones.

Main lines, by angle (2θ = 10–90°):
2θ/deg  I/Imax
31.9  24.1
36.4  45.1
37.1  100.0
37.5  30.5
55.9  19.3
69.2  18.7

Cell lengths 3.210, 9.594, 5.752 Å; angles 90.00, 90.00, 90.00 degrees
Space group Imm2 (No. 44)
Unique sites:
Cd: 0.000 0.000 0.000 (multiplicity 2)
Cd: 0.000 0.243 0.646 (multiplicity 4)
Ga: 0.000 0.500 0.981 (multiplicity 2)

Theoretical X-ray diffraction stick pattern
Compound: CdGa5
Radiation: Cu Ka
Structure: the GGA-PBE geometry in Alexandria
Peak positions follow from Bragg's law for the DFT cell and can differ from measured ones.

Main lines, by angle (2θ = 10–90°):
2θ/deg  I/Imax
36.4  100.0
40.2  18.9
42.9  15.6
43.8  14.8
70.5  13.4
74.4  11.6

Cell lengths 4.138, 13.472, 4.214 Å; angles 90.00, 90.00, 90.00 degrees
Space group Cmmm (No. 65)
Unique sites:
Cd: 0.000 0.000 0.000 (multiplicity 2)
Ga: 0.000 0.168 0.500 (multiplicity 4)
Ga: 0.000 0.331 0.000 (multiplicity 4)
Ga: 0.000 0.500 0.500 (multiplicity 2)

Theoretical X-ray diffraction stick pattern
Compound: CdGa7
Radiation: Cu Ka
Structure: the GGA-PBE geometry in Alexandria
Peak positions follow from Bragg's law for the DFT cell and can differ from measured ones.

Main lines, by angle (2θ = 10–90°):
2θ/deg  I/Imax
36.6  100.0
38.3  21.7
44.5  28.6
60.1  22.3
68.1  14.9
76.7  21.6

Cell lengths 4.076, 4.076, 18.794 Å; angles 90.00, 90.00, 90.00 degrees
Space group I4/mmm (No. 139)
Unique sites:
Cd: 0.000 0.000 0.000 (multiplicity 2)
Ga: 0.000 0.000 0.249 (multiplicity 4)
Ga: 0.000 0.000 0.500 (multiplicity 2)
Ga: 0.000 0.500 0.128 (multiplicity 8)

Theoretical X-ray diffraction stick pattern
Compound: Cd3Ga11
Radiation: Cu Ka
Structure: the GGA-PBE geometry in Alexandria
Peak positions follow from Bragg's law for the DFT cell and can differ from measured ones.

Main lines, by angle (2θ = 10–90°):
2θ/deg  I/Imax
30.0  32.5
30.3  34.7
34.8  100.0
37.7  41.4
40.8  55.3
43.5  23.3

Cell lengths 11.310, 8.924, 5.749 Å; angles 90.00, 90.90, 90.00 degrees
Space group C2/m (No. 12)
Unique sites:
Cd: 0.000 0.000 0.000 (multiplicity 2)
Cd: 0.224 0.500 0.738 (multiplicity 4)
Ga: 0.000 0.353 0.500 (multiplicity 4)
Ga: 0.000 0.500 0.000 (multiplicity 2)
Ga: 0.136 0.263 0.121 (multiplicity 8)
Ga: 0.160 0.154 0.651 (multiplicity 8)

Theoretical X-ray diffraction stick pattern
Compound: KCdGaGe2
Radiation: Cu Ka
Structure: the GGA-PBE geometry in Alexandria
Peak positions follow from Bragg's law for the DFT cell and can differ from measured ones.

Main lines, by angle (2θ = 10–90°):
2θ/deg  I/Imax
16.3  34.7
20.5  31.9
31.1  32.0
31.4  100.0
38.1  71.0
42.9  61.7

Cell lengths 4.729, 4.729, 10.865 Å; angles 90.00, 90.00, 90.00 degrees
Space group I-4m2 (No. 119)
Unique sites:
K: 0.000 0.000 0.000 (multiplicity 2)
Cd: 0.000 0.500 0.750 (multiplicity 2)
Ga: 0.000 0.500 0.250 (multiplicity 2)
Ge: 0.000 0.000 0.383 (multiplicity 4)